Entry 1:
This entry pairs a crystal structure of Rb3Cd2Hg7 with its calculated PXRD pattern. Radiation: a wavelength of 1.5418 Å. Structure: the PBE geometry in Alexandria.
Neutral-atom scattering factors, no anomalous dispersion.

Cell and atoms:
```
Rb3Cd2Hg7
1.0
3.3198 1.9167 10.2815
-3.3198 1.9167 10.2815
0.0000 -3.8334 10.2815
Rb Cd Hg
3 2 7
Cartesian
0.0000 0.0000 0.0000
0.0000 0.0000 4.3751
0.0000 0.0000 26.4694
0.0000 0.0000 10.4001
0.0000 0.0000 20.4445
-1.7263 -0.9967 12.8017
0.0000 -1.9933 18.0429
-1.7263 0.9967 18.0429
0.0000 0.0000 15.4223
1.7263 -0.9967 12.8017
0.0000 1.9933 12.8017
1.7263 0.9967 18.0429
```

Largest 10 diffraction maxima, sorted by position, 2θ = 15–90°:
- 2θ 15.7, intensity 506
- 2θ 31.2, intensity 438
- 2θ 31.7, intensity 294
- 2θ 32.1, intensity 1000
- 2θ 34.4, intensity 636
- 2θ 34.9, intensity 355
- 2θ 37.3, intensity 443
- 2θ 50.8, intensity 281
- 2θ 55.3, intensity 366
- 2θ 67.1, intensity 315

=====

Entry 2:
This entry pairs a crystal structure of Li2Mg3Cd3 with its calculated PXRD pattern. Radiation: a wavelength of 1.5418 Å. Structure: the PBE geometry in Alexandria.
Neutral-atom scattering factors, no anomalous dispersion.

Cell and atoms:
```
Li2Mg3Cd3
1.0
3.7691 0.0000 0.0000
-0.0120 4.6470 0.0000
-1.8657 -2.2755 9.3602
Li Mg Cd
2 3 3
Cartesian
0.0054 0.0237 4.6559
1.8860 2.3478 4.7042
0.0000 0.0000 0.0000
-0.0074 2.3442 2.3789
1.8988 0.0273 6.9812
0.0107 2.3496 6.8347
1.8785 2.3235 0.0000
1.8808 0.0219 2.5255
```

Largest 10 diffraction maxima, sorted by position, 2θ = 15–90°:
- 2θ 23.8, intensity 320
- 2θ 23.9, intensity 310
- 2θ 24.1, intensity 444
- 2θ 30.6, intensity 171
- 2θ 32.0, intensity 199
- 2θ 36.2, intensity 1000
- 2θ 36.3, intensity 330
- 2θ 38.5, intensity 253
- 2θ 38.8, intensity 295
- 2θ 41.4, intensity 177

=====

Entry 3:
This entry pairs a crystal structure of CaDy4Si4 with its calculated PXRD pattern. Radiation: a wavelength of 1.5418 Å. Structure: the PBE geometry in Alexandria.
Neutral-atom scattering factors, no anomalous dispersion.

Cell and atoms:
```
CaDy4Si4
1.0
9.3181 0.0000 0.0000
0.0000 9.3181 0.0000
0.0000 0.0000 5.7346
Ca Dy Si
2 8 8
Cartesian
2.3295 2.3295 1.4337
6.9885 6.9885 4.3010
0.9934 5.9247 0.7309
1.2657 8.3246 3.5982
3.3933 5.6525 3.5982
3.6656 8.0524 0.7309
5.6525 1.2657 5.0038
5.9247 3.6656 2.1364
8.0524 0.9934 2.1364
8.3246 3.3933 5.0038
0.4543 5.4921 3.6395
0.8331 8.8638 0.7722
3.8260 5.1133 0.7722
4.2048 8.4850 3.6395
5.1133 0.8331 2.0952
5.4921 4.2048 4.9625
8.4850 0.4543 4.9625
8.8638 3.8260 2.0952
```

Largest 10 diffraction maxima, sorted by position, 2θ = 15–90°:
- 2θ 26.4, intensity 1000
- 2θ 30.3, intensity 876
- 2θ 31.3, intensity 629
- 2θ 32.7, intensity 879
- 2θ 34.2, intensity 361
- 2θ 38.2, intensity 449
- 2θ 38.7, intensity 381
- 2θ 42.9, intensity 585
- 2θ 51.5, intensity 459
- 2θ 59.1, intensity 373